For BeBPdAu, a structure optimized by DFT (GGA-PBE) gives the computed powder X-ray diffraction pattern in this record (Cu Kα (λ = 1.5418 Å)).
Peak positions follow from Bragg's law for the DFT cell and can differ from measured ones.

Cell and atoms:
```
data_BeBPdAu
_symmetry_space_group_name_H-M 'R 3 m'
_symmetry_Int_Tables_number 160
_symmetry_space_group_name_Hall 'R 3 -2"'
_cell_length_a 3.1478
_cell_length_b 3.1478
_cell_length_c 17.7061
_cell_angle_alpha 90.00
_cell_angle_beta 90.00
_cell_angle_gamma 120.00
loop_
_atom_site_label
_atom_site_type_symbol
_atom_site_fract_x
_atom_site_fract_y
_atom_site_fract_z
Be1 Be 0.0000 0.0000 0.0000
B1 B 0.0000 0.0000 0.7212
Pd1 Pd 0.0000 0.0000 0.5942
Au1 Au 0.0000 0.0000 0.1304
```

Largest 10 diffraction maxima, in order of falling intensity, 2θ from 10° to 90°:
| d_spacing | two_theta | I (rel.) | (hkl) |
| --- | --- | --- | --- |
| 2.605 | 34.42 | 100 | 0 1 2 |
| 2.321 | 38.79 | 56 | 1 0 4 |
| 5.902 | 15.01 | 37 | 0 0 3 |
| 2.951 | 30.29 | 29 | 0 0 6 |
| 1.574 | 58.66 | 24 | 1 1 0 |
| 1.854 | 49.14 | 23 | 1 0 7 |
| 2.160 | 41.82 | 22 | 0 1 5 |
| 1.389 | 67.44 | 18 | 1 1 6 |
| 1.229 | 77.70 | 15 | 1 1 9 |
| 1.718 | 53.32 | 14 | 0 1 8 |